Structure and computed X-ray diffraction stick pattern of VH4NO3 (a crystal structure in Alexandria, relaxed with PBE+U; Cu Ka).
No peak broadening, texture or thermal motion is included.

Main lines, in order of rising 2θ (10° ≤ 2θ ≤ 80°):
2θ 14.6, I 49
2θ 18.4, I 67
2θ 20.9, I 93
2θ 23.6, I 31
2θ 28.0, I 100
2θ 29.9, I 58
2θ 32.6, I 19
2θ 33.2, I 49
2θ 37.4, I 25
2θ 58.5, I 14

```
data_VH4NO3
_symmetry_space_group_name_H-M 'P b c m'
_symmetry_Int_Tables_number 57
_cell_length_a 4.8142
_cell_length_b 12.0993
_cell_length_c 5.9748
_cell_angle_alpha 90.00
_cell_angle_beta 90.00
_cell_angle_gamma 90.00
loop_
_symmetry_equiv_pos_as_xyz
'x,y,z'
'-x,-y,-z'
'-x,-y,z+1/2'
'x,y,-z+1/2'
'x,-y+1/2,-z'
'-x,y+1/2,z'
'-x,y+1/2,-z+1/2'
'x,-y+1/2,z+1/2'
loop_
_atom_site_label
_atom_site_fract_x
_atom_site_fract_y
_atom_site_fract_z
_atom_site_occupancy
V1 0.0360 0.1762 0.2500 1
H1 0.2510 0.5348 0.7500 1
H2 0.3881 0.0292 0.7500 1
H3 0.4388 0.6315 0.6110 1
N1 0.4363 0.5810 0.7500 1
O1 0.0707 0.5428 0.2500 1
O2 0.0808 0.7500 0.0000 1
O3 0.3813 0.1742 0.2500 1
```